Theoretical XRD peak list of Mg3Tl4Pb for Cu Kα X-rays, from a structure optimized by DFT (GGA-PBE).

Largest 10 diffraction maxima, in order of falling intensity, 10° ≤ 2θ ≤ 90°:
two_theta  Rel. int.  index
33.30  100  1 1 0
33.82  92  0 1 8
23.56  53  1 0 4
59.84  36  1 2 8
48.19  34  2 0 8
59.51  19  3 0 0
79.97  16  3 1 8
60.82  15  1 0 16
80.84  13  2 1 16
41.19  13  0 2 4

Atomic structure:
```
data_Mg3Tl4Pb
_chemical_formula_sum 'Mg9 Tl12 Pb3'
_cell_length_a 5.3813
_cell_length_b 5.3813
_cell_length_c 25.7823
_cell_angle_alpha 90.00
_cell_angle_beta 90.00
_cell_angle_gamma 120.00
_symmetry_space_group_name_H-M 'R -3 m'
_symmetry_Int_Tables_number 166
_symmetry_space_group_name_Hall '-R 3 2"'
loop_
_atom_site_label
_atom_site_type_symbol
_atom_site_fract_x
_atom_site_fract_y
_atom_site_fract_z
Mg1 Mg 0.0000 0.0000 0.0000
Mg2 Mg 0.0000 0.0000 0.2460
Tl1 Tl 0.0000 0.0000 0.1195
Tl2 Tl 0.0000 0.0000 0.3707
Pb1 Pb 0.0000 0.0000 0.5000
```